# Np2USi6
Computed powder diffraction line list, CuKα. Input: a cell relaxed with PBE.

Peak list (10 most intense, 2θ from 5° to 70°, low angle first)
| two_theta | intensity |
| --- | --- |
| 23.47 | 19 |
| 25.42 | 66 |
| 34.87 | 100 |
| 44.80 | 31 |
| 48.00 | 8 |
| 51.19 | 16 |
| 52.22 | 10 |
| 55.09 | 17 |
| 58.00 | 24 |
| 67.75 | 18 |

Atomic structure:
a = 7.0074 Å, b = 7.0074 Å, c = 3.7906 Å
α = 90.00°, β = 90.00°, γ = 120.00°
Fractional coordinates of all 9 atoms:
1 Np 0.3333 0.6667 0.0000
2 Np 0.6667 0.3333 0.0000
3 U 0.0000 0.0000 0.0000
4 Si 0.0000 0.3328 0.5000
5 Si 0.0000 0.6672 0.5000
6 Si 0.3328 0.0000 0.5000
7 Si 0.3328 0.3328 0.5000
8 Si 0.6672 0.0000 0.5000
9 Si 0.6672 0.6672 0.5000

=====

# Sc4CdRh3
Computed powder diffraction line list, CuKα. Input: a cell relaxed with PBE.

Peak list (10 most intense, 2θ from 5° to 70°, low angle first)
| two_theta | intensity |
| --- | --- |
| 25.99 | 12 |
| 27.50 | 21 |
| 38.20 | 100 |
| 39.28 | 47 |
| 47.71 | 10 |
| 53.46 | 9 |
| 56.76 | 15 |
| 61.16 | 5 |
| 63.45 | 4 |
| 68.32 | 16 |

Atomic structure:
a = 4.5871 Å, b = 4.5871 Å, c = 6.8555 Å
α = 90.00°, β = 90.00°, γ = 90.00°
Fractional coordinates of all 8 atoms:
1 Sc 0.0000 0.5000 0.2361
2 Sc 0.0000 0.5000 0.7639
3 Sc 0.5000 0.0000 0.2361
4 Sc 0.5000 0.0000 0.7639
5 Cd 0.0000 0.0000 0.5000
6 Rh 0.0000 0.0000 0.0000
7 Rh 0.5000 0.5000 0.0000
8 Rh 0.5000 0.5000 0.5000

=====

# Er3Tm4Th2
Computed powder diffraction line list, CuKα. Input: a cell relaxed with PBE.

Peak list (10 most intense, 2θ from 5° to 70°, low angle first)
| two_theta | intensity |
| --- | --- |
| 30.61 | 51 |
| 30.99 | 100 |
| 32.53 | 88 |
| 37.87 | 32 |
| 38.22 | 25 |
| 49.96 | 14 |
| 51.55 | 13 |
| 52.38 | 12 |
| 56.06 | 15 |
| 56.19 | 19 |

Atomic structure:
a = 9.8861 Å, b = 9.8861 Å, c = 6.0474 Å
α = 96.10°, β = 96.10°, γ = 71.54°
Fractional coordinates of all 18 atoms:
1 Er 0.1099 0.8901 0.7500
2 Er 0.2275 0.4397 0.9104
3 Er 0.4397 0.2275 0.4104
4 Er 0.5603 0.7725 0.5896
5 Er 0.7725 0.5603 0.0896
6 Er 0.8901 0.1099 0.2500
7 Tm 0.0828 0.3553 0.3462
8 Tm 0.3154 0.5862 0.4806
9 Tm 0.3553 0.0828 0.8462
10 Tm 0.4138 0.6846 0.0194
11 Tm 0.5862 0.3154 0.9806
12 Tm 0.6447 0.9172 0.1538
13 Tm 0.6846 0.4138 0.5194
14 Tm 0.9172 0.6447 0.6538
15 Th 0.0243 0.7474 0.1879
16 Th 0.2526 0.9757 0.3121
17 Th 0.7474 0.0243 0.6879
18 Th 0.9757 0.2526 0.8121

=====

# Pm4ErCd3
Computed powder diffraction line list, CuKα. Input: a cell relaxed with PBE.

Peak list (10 most intense, 2θ from 5° to 70°, low angle first)
| two_theta | intensity |
| --- | --- |
| 32.11 | 26 |
| 32.48 | 26 |
| 32.89 | 100 |
| 46.33 | 19 |
| 48.08 | 9 |
| 57.75 | 19 |
| 58.21 | 19 |
| 58.99 | 9 |
| 59.22 | 9 |
| 68.98 | 11 |

Atomic structure:
a = 3.7851 Å, b = 5.5127 Å, c = 11.1488 Å
α = 90.00°, β = 90.00°, γ = 90.00°
Fractional coordinates of all 8 atoms:
1 Pm 0.0000 0.0000 0.0000
2 Pm 0.0000 0.0000 0.5000
3 Pm 0.0000 0.5000 0.2389
4 Pm 0.0000 0.5000 0.7611
5 Er 0.5000 0.5000 0.5000
6 Cd 0.5000 0.0000 0.2537
7 Cd 0.5000 0.0000 0.7463
8 Cd 0.5000 0.5000 0.0000

=====

# Ga4Ag8Sn
Computed powder diffraction line list, CuKα. Input: a cell relaxed with PBE.

Peak list (10 most intense, 2θ from 5° to 70°, low angle first)
| two_theta | intensity |
| --- | --- |
| 24.51 | 2 |
| 35.99 | 1 |
| 37.24 | 100 |
| 42.63 | 16 |
| 43.16 | 17 |
| 43.99 | 16 |
| 62.23 | 5 |
| 62.33 | 5 |
| 62.92 | 9 |
| 63.33 | 10 |

Atomic structure:
a = 5.1262 Å, b = 5.1262 Å, c = 12.3368 Å
α = 93.54°, β = 93.54°, γ = 47.35°
Fractional coordinates of all 13 atoms:
1 Ga 0.1260 0.1260 0.1714
2 Ga 0.3495 0.3495 0.4605
3 Ga 0.6505 0.6505 0.5395
4 Ga 0.8740 0.8740 0.8286
5 Ag 0.0444 0.0444 0.3910
6 Ag 0.1956 0.1956 0.9138
7 Ag 0.2620 0.2620 0.6823
8 Ag 0.4307 0.4307 0.2374
9 Ag 0.5693 0.5693 0.7626
10 Ag 0.7380 0.7380 0.3177
11 Ag 0.8044 0.8044 0.0862
12 Ag 0.9556 0.9556 0.6090
13 Sn 0.5000 0.5000 0.0000

=====

# CaLa14Cd
Computed powder diffraction line list, CuKα. Input: a cell relaxed with PBE.

Peak list (10 most intense, 2θ from 5° to 70°, low angle first)
| two_theta | intensity |
| --- | --- |
| 8.46 | 1 |
| 11.96 | 1 |
| 16.96 | 1 |
| 18.97 | 1 |
| 24.07 | 1 |
| 29.59 | 100 |
| 34.30 | 51 |
| 49.29 | 36 |
| 58.55 | 42 |
| 61.42 | 12 |

Atomic structure:
a = 7.3985 Å, b = 7.3985 Å, c = 10.4478 Å
α = 90.00°, β = 90.00°, γ = 90.00°
Fractional coordinates of all 16 atoms:
1 Ca 0.0000 0.0000 0.0000
2 La 0.0000 0.0000 0.5000
3 La 0.0000 0.5000 0.0000
4 La 0.0000 0.5000 0.5000
5 La 0.2579 0.2579 0.2491
6 La 0.2579 0.2579 0.7509
7 La 0.2579 0.7421 0.2491
8 La 0.2579 0.7421 0.7509
9 La 0.5000 0.0000 0.0000
10 La 0.5000 0.0000 0.5000
11 La 0.5000 0.5000 0.5000
12 La 0.7421 0.2579 0.2491
13 La 0.7421 0.2579 0.7509
14 La 0.7421 0.7421 0.2491
15 La 0.7421 0.7421 0.7509
16 Cd 0.5000 0.5000 0.0000

=====

# Nb6GePt
Computed powder diffraction line list, CuKα. Input: a cell relaxed with PBE.

Peak list (10 most intense, 2θ from 5° to 70°, low angle first)
| two_theta | intensity |
| --- | --- |
| 17.07 | 16 |
| 24.22 | 6 |
| 29.78 | 5 |
| 34.52 | 45 |
| 38.75 | 99 |
| 42.62 | 100 |
| 52.86 | 4 |
| 61.86 | 5 |
| 64.68 | 21 |
| 67.44 | 51 |

Atomic structure:
a = 5.1959 Å, b = 5.1959 Å, c = 5.1959 Å
α = 90.00°, β = 90.00°, γ = 90.00°
Fractional coordinates of all 8 atoms:
1 Nb 0.0000 0.2487 0.5000
2 Nb 0.0000 0.7513 0.5000
3 Nb 0.2487 0.5000 0.0000
4 Nb 0.5000 0.0000 0.2487
5 Nb 0.5000 0.0000 0.7513
6 Nb 0.7513 0.5000 0.0000
7 Ge 0.5000 0.5000 0.5000
8 Pt 0.0000 0.0000 0.0000